Entry 1:
Diffraction record for Ba2Cd6PdAu. The powder XRD pattern is calculated, not measured: it uses a structure optimized by DFT (PBE) and Cu Kα.
Peak positions follow from Bragg's law for the DFT cell and can differ from measured ones.

a b c (Å): 10.642 10.660 7.526
angles (deg): 90.00 134.89 90.00
Space group C2/m (No. 12)
One atom of each set of equivalent atoms:
Ba 0.000 0.250 0.000 x4
Cd 0.000 0.247 0.500 x4
Cd 0.247 0.000 0.500 x4
Cd 0.247 0.000 0.993 x4
Pd 0.000 0.000 0.500 x2
Au 0.000 0.500 0.500 x2

The 6 most intense peaks (10° ≤ 2θ ≤ 90°), in order of falling intensity:
h k l  2theta  I (rel.)
0 4 0  33.65  100
4 0 0  48.32  71
2 2 0  29.03  52
2 0 0  23.62  36
0 2 0  16.64  26
4 4 0  60.17  24

=====

Entry 2:
Diffraction record for Hf2ScCo2. The powder XRD pattern is calculated, not measured: it uses a structure optimized by DFT (PBE) and Cu Kα.
Peak positions follow from Bragg's law for the DFT cell and can differ from measured ones.

a b c (Å): 7.223 7.223 3.286
angles (deg): 90.00 90.00 90.00
Space group P4/mbm (No. 127)
One atom of each set of equivalent atoms:
Hf 0.159 0.341 0.000 x4
Sc 0.000 0.000 0.500 x2
Co 0.132 0.632 0.500 x4

The 6 most intense peaks (10° ≤ 2θ ≤ 90°), in order of falling intensity:
h k l  2theta  I (rel.)
2 1 1  39.11  100
3 1 0  39.45  34
2 1 0  27.61  30
1 1 0  17.36  19
5 2 1  76.75  18
2 0 1  36.99  15

=====

Entry 3:
Diffraction record for Ba2PmNbN4. The powder XRD pattern is calculated, not measured: it uses a structure optimized by DFT (PBE) and Cu Kα.
Peak positions follow from Bragg's law for the DFT cell and can differ from measured ones.

a b c (Å): 7.121 7.426 10.369
angles (deg): 90.00 90.00 90.00
Space group Imma (No. 74)
One atom of each set of equivalent atoms:
Ba 0.000 0.000 0.000 x4
Ba 0.250 0.250 0.250 x4
Pm 0.000 0.000 0.500 x4
Nb 0.250 0.250 0.750 x4
N 0.000 0.050 0.742 x8
N 0.228 0.250 0.543 x8

The 6 most intense peaks (10° ≤ 2θ ≤ 90°), in order of falling intensity:
h k l  2theta  I (rel.)
0 2 2  29.59  100
2 2 0  34.92  94
2 0 2  30.46  91
2 2 4  49.98  63
0 2 6  58.89  47
0 0 4  34.60  47